Diffraction record for Co10SnB3. The X-ray diffraction stick pattern is simulated, not measured: it uses a DFT-relaxed cell (PBE, Alexandria) and Cu Kα X-rays.
Peak positions follow from Bragg's law for the DFT cell and can differ from measured ones.

Principal peaks in the range 2θ = 15–90°, by angle:
| 2theta | I (rel.) |
| --- | --- |
| 38.22 | 88 |
| 42.04 | 48 |
| 44.72 | 100 |
| 48.93 | 29 |
| 51.33 | 44 |
| 76.81 | 33 |

Cell and atoms:
Cell: 7.446 7.446 7.446 Å, 60.00 60.00 60.00°
Positions (direct):
Co1 0.000 0.000 0.333
Co2 0.000 0.000 0.667
Co3 0.000 0.333 0.000
Co4 0.000 0.333 0.667
Co5 0.000 0.667 0.000
Co6 0.000 0.667 0.333
Co7 0.156 0.615 0.615
Co8 0.333 0.000 0.000
Co9 0.333 0.000 0.667
Co10 0.333 0.667 0.000
Co11 0.385 0.385 0.385
Co12 0.385 0.385 0.844
Co13 0.385 0.844 0.385
Co14 0.615 0.156 0.615
Co15 0.615 0.615 0.156
Co16 0.615 0.615 0.615
Co17 0.667 0.000 0.000
Co18 0.667 0.000 0.333
Co19 0.667 0.333 0.000
Co20 0.844 0.385 0.385
Sn1 0.250 0.250 0.250
Sn2 0.750 0.750 0.750
B1 0.276 0.276 0.724
B2 0.276 0.724 0.276
B3 0.276 0.724 0.724
B4 0.724 0.276 0.276
B5 0.724 0.276 0.724
B6 0.724 0.724 0.276


Diffraction record for TbCo4B4. The X-ray diffraction stick pattern is simulated, not measured: it uses a DFT-relaxed cell (PBE, Alexandria) and Cu Kα X-rays.
Peak positions follow from Bragg's law for the DFT cell and can differ from measured ones.

Principal peaks in the range 2θ = 15–90°, by angle:
| 2theta | I (rel.) |
| --- | --- |
| 25.62 | 20 |
| 26.69 | 52 |
| 37.33 | 100 |
| 41.05 | 72 |
| 53.24 | 24 |
| 72.34 | 19 |

Cell and atoms:
Cell: 6.953 6.953 3.808 Å, 90.00 90.00 90.00°
Positions (direct):
Tb1 0.250 0.250 0.250
Tb2 0.750 0.750 0.750
Co1 0.108 0.632 0.141
Co2 0.132 0.892 0.641
Co3 0.368 0.608 0.641
Co4 0.392 0.868 0.141
Co5 0.608 0.132 0.859
Co6 0.632 0.392 0.359
Co7 0.868 0.108 0.359
Co8 0.892 0.368 0.859
B1 0.049 0.913 0.145
B2 0.087 0.549 0.645
B3 0.413 0.951 0.645
B4 0.451 0.587 0.145
B5 0.549 0.413 0.855
B6 0.587 0.049 0.355
B7 0.913 0.451 0.355
B8 0.951 0.087 0.855


Diffraction record for Tb2Co2B. The X-ray diffraction stick pattern is simulated, not measured: it uses a DFT-relaxed cell (PBE, Alexandria) and Cu Kα X-rays.
Peak positions follow from Bragg's law for the DFT cell and can differ from measured ones.

Principal peaks in the range 2θ = 15–90°, by angle:
| 2theta | I (rel.) |
| --- | --- |
| 24.80 | 59 |
| 30.64 | 100 |
| 35.41 | 89 |
| 36.94 | 74 |
| 37.48 | 72 |
| 40.87 | 98 |

Cell and atoms:
Cell: 5.574 5.574 6.519 Å, 98.61 98.61 55.29°
Positions (direct):
Tb1 0.030 0.264 0.150
Tb2 0.264 0.030 0.650
Tb3 0.736 0.970 0.350
Tb4 0.970 0.736 0.850
Co1 0.284 0.489 0.487
Co2 0.489 0.284 0.987
Co3 0.511 0.716 0.013
Co4 0.716 0.511 0.513
B1 0.422 0.578 0.250
B2 0.578 0.422 0.750


Diffraction record for Co2TcB. The X-ray diffraction stick pattern is simulated, not measured: it uses a DFT-relaxed cell (PBE, Alexandria) and Cu Kα X-rays.
Peak positions follow from Bragg's law for the DFT cell and can differ from measured ones.

Principal peaks in the range 2θ = 15–90°, by angle:
| 2theta | I (rel.) |
| --- | --- |
| 30.86 | 57 |
| 36.23 | 41 |
| 43.42 | 54 |
| 45.02 | 100 |
| 49.03 | 43 |
| 50.19 | 84 |

Cell and atoms:
Cell: 3.716 4.629 4.791 Å, 90.00 90.00 90.00°
Positions (direct):
Co1 0.250 0.007 0.143
Co2 0.250 0.493 0.143
Co3 0.750 0.507 0.857
Co4 0.750 0.993 0.857
Tc1 0.250 0.250 0.613
Tc2 0.750 0.750 0.387
B1 0.250 0.750 0.747
B2 0.750 0.250 0.253


Diffraction record for ThCo2B. The X-ray diffraction stick pattern is simulated, not measured: it uses a DFT-relaxed cell (PBE, Alexandria) and Cu Kα X-rays.
Peak positions follow from Bragg's law for the DFT cell and can differ from measured ones.

Principal peaks in the range 2θ = 15–90°, by angle:
| 2theta | I (rel.) |
| --- | --- |
| 23.10 | 50 |
| 29.29 | 47 |
| 36.03 | 87 |
| 38.07 | 100 |
| 39.06 | 77 |
| 40.26 | 40 |

Cell and atoms:
Cell: 6.067 3.771 9.968 Å, 90.00 90.00 90.00°
Positions (direct):
Th1 0.157 0.250 0.128
Th2 0.343 0.750 0.628
Th3 0.657 0.250 0.372
Th4 0.843 0.750 0.872
Co1 0.114 0.250 0.440
Co2 0.167 0.250 0.807
Co3 0.333 0.750 0.307
Co4 0.386 0.750 0.940
Co5 0.614 0.250 0.060
Co6 0.667 0.250 0.693
Co7 0.833 0.750 0.193
Co8 0.886 0.750 0.560
B1 0.019 0.750 0.371
B2 0.481 0.250 0.871
B3 0.519 0.750 0.129
B4 0.981 0.250 0.629


Diffraction record for Th3Co4B4. The X-ray diffraction stick pattern is simulated, not measured: it uses a DFT-relaxed cell (PBE, Alexandria) and Cu Kα X-rays.
Peak positions follow from Bragg's law for the DFT cell and can differ from measured ones.

Principal peaks in the range 2θ = 15–90°, by angle:
| 2theta | I (rel.) |
| --- | --- |
| 23.72 | 60 |
| 26.71 | 73 |
| 26.89 | 85 |
| 31.32 | 68 |
| 35.60 | 100 |
| 36.61 | 90 |

Cell and atoms:
Cell: 3.755 3.882 11.705 Å, 96.23 98.28 100.26°
Positions (direct):
Th1 0.000 0.000 0.000
Th2 0.370 0.832 0.701
Th3 0.630 0.168 0.299
Co1 0.278 0.678 0.457
Co2 0.423 0.431 0.884
Co3 0.577 0.569 0.116
Co4 0.722 0.322 0.543
B1 0.110 0.579 0.184
B2 0.179 0.177 0.497
B3 0.821 0.823 0.503
B4 0.890 0.421 0.816


Repeat the fourth record exactly.
Diffraction record for Co2TcB. The X-ray diffraction stick pattern is simulated, not measured: it uses a DFT-relaxed cell (PBE, Alexandria) and Cu Kα X-rays.
Peak positions follow from Bragg's law for the DFT cell and can differ from measured ones.

Principal peaks in the range 2θ = 15–90°, by angle:
| 2theta | I (rel.) |
| --- | --- |
| 30.86 | 57 |
| 36.23 | 41 |
| 43.42 | 54 |
| 45.02 | 100 |
| 49.03 | 43 |
| 50.19 | 84 |

Cell and atoms:
Cell: 3.716 4.629 4.791 Å, 90.00 90.00 90.00°
Positions (direct):
Co1 0.250 0.007 0.143
Co2 0.250 0.493 0.143
Co3 0.750 0.507 0.857
Co4 0.750 0.993 0.857
Tc1 0.250 0.250 0.613
Tc2 0.750 0.750 0.387
B1 0.250 0.750 0.747
B2 0.750 0.250 0.253


- Which formula does entry 2 have?
  TbCo4B4